Starting from a PBE+U-relaxed structure, the powder diffractogram of Li3Tl2WF12 was computed for Cu Kα, 1.54184 Å.

Peak list (8 most intense, 10 to 90 degrees two-theta, sorted by position)
2θ/deg, d/Å, I (rel.)
17.09, 5.188, 100
24.24, 3.672, 48
26.79, 3.327, 47
30.50, 2.931, 37
31.96, 2.801, 22
41.04, 2.199, 22
43.70, 2.072, 20
49.69, 1.835, 27

Cell and atoms:
a b c (Å): 8.8223 8.8223 8.8223
angles (deg): 44.31 44.31 44.31
Element x y z (fractional)
Li1 0.0000 0.5000 0.5000
Li2 0.5000 0.0000 0.5000
Li3 0.5000 0.5000 0.0000
Tl1 0.0708 0.0708 0.0708
Tl2 0.9292 0.9292 0.9292
W1 0.5000 0.5000 0.5000
F1 0.1575 0.1575 0.5873
F2 0.1575 0.5873 0.1575
F3 0.1881 0.5877 0.5877
F4 0.4123 0.4123 0.8118
F5 0.4123 0.8118 0.4123
F6 0.4127 0.8425 0.8425
F7 0.5873 0.1575 0.1575
F8 0.5877 0.1881 0.5877
F9 0.5877 0.5877 0.1882
F10 0.8118 0.4123 0.4123
F11 0.8425 0.4127 0.8425
F12 0.8425 0.8425 0.4127